(1)
This entry pairs a crystal structure of InCuRu2 with its calculated powder diffractogram. Radiation: Cu Kα (λ = 1.5418 Å). Structure: DFT lattice parameters and positions (PBE).
Neutral-atom scattering factors, no anomalous dispersion.

Peak list (10 most intense, 10° ≤ 2θ ≤ 90°, by angle)
- 12.1 deg, I = 4
- 33.4 deg, I = 3
- 39.8 deg, I = 100
- 44.5 deg, I = 37
- 49.7 deg, I = 12
- 64.7 deg, I = 12
- 68.9 deg, I = 17
- 78.7 deg, I = 25
- 85.7 deg, I = 9
- 86.4 deg, I = 8

Structural model:
Unit cell a=2.8823 b=2.8823 c=7.3382 alpha=90.00 beta=90.00 gamma=90.00
Fractional positions:
In: 0.0000 0.0000 0.0000
Cu: 0.5000 0.5000 0.7371
Ru: 0.0000 0.0000 0.4990
Ru: 0.5000 0.5000 0.2786


(2)
This entry pairs a crystal structure of CdPtF4 with its calculated powder diffractogram. Radiation: Cu Kα (λ = 1.5418 Å). Structure: DFT lattice parameters and positions (PBE).
Neutral-atom scattering factors, no anomalous dispersion.

Peak list (10 most intense, 10° ≤ 2θ ≤ 90°, by angle)
- 21.7 deg, I = 100
- 29.8 deg, I = 38
- 32.6 deg, I = 67
- 41.8 deg, I = 26
- 47.6 deg, I = 23
- 51.4 deg, I = 25
- 52.2 deg, I = 19
- 53.3 deg, I = 16
- 60.6 deg, I = 19
- 70.5 deg, I = 14

Structural model:
Unit cell a=4.3256 b=4.3256 c=12.4593 alpha=90.00 beta=90.00 gamma=90.00
Fractional positions:
Cd: 0.0000 0.0000 0.0000
Cd: 0.5000 0.5000 0.5000
Pt: 0.0000 0.5000 0.2500
Pt: 0.5000 0.0000 0.7500
F: 0.2037 0.7253 0.3840
F: 0.2253 0.2963 0.1160
F: 0.2747 0.2037 0.6160
F: 0.2963 0.7747 0.8840
F: 0.7037 0.2253 0.8840
F: 0.7253 0.7963 0.6160
F: 0.7747 0.7037 0.1160
F: 0.7963 0.2747 0.3840


(3)
This entry pairs a crystal structure of UPt7 with its calculated powder diffractogram. Radiation: Cu Kα (λ = 1.5418 Å). Structure: DFT lattice parameters and positions (PBE).
Neutral-atom scattering factors, no anomalous dispersion.

Peak list (8 most intense, 10° ≤ 2θ ≤ 90°, by angle)
- 38.4 deg, I = 100
- 44.1 deg, I = 34
- 45.6 deg, I = 16
- 64.1 deg, I = 11
- 65.3 deg, I = 22
- 77.3 deg, I = 27
- 79.5 deg, I = 12
- 82.2 deg, I = 12

Structural model:
Unit cell a=4.1078 b=4.1078 c=15.9038 alpha=90.00 beta=90.00 gamma=90.00
Fractional positions:
U: 0.0000 0.0000 0.0000
U: 0.5000 0.5000 0.5000
Pt: 0.0000 0.0000 0.2536
Pt: 0.0000 0.0000 0.5000
Pt: 0.0000 0.0000 0.7464
Pt: 0.0000 0.5000 0.1248
Pt: 0.0000 0.5000 0.3752
Pt: 0.0000 0.5000 0.6248
Pt: 0.0000 0.5000 0.8752
Pt: 0.5000 0.0000 0.1248
Pt: 0.5000 0.0000 0.3752
Pt: 0.5000 0.0000 0.6248
Pt: 0.5000 0.0000 0.8752
Pt: 0.5000 0.5000 0.0000
Pt: 0.5000 0.5000 0.2464
Pt: 0.5000 0.5000 0.7536